No. 1
# Mn2FeP3O12
Computed XRD peak list, a wavelength of 1.5418 Å. Input: a crystal structure in the Materials Project, relaxed with GGA+U.
Intensities are scaled so that the largest is 100.

Atomic structure:
```
Mn2FeP3O12
1.0
4.344 2.508 6.806
-4.344 2.508 6.806
0.000 -5.016 6.806
Mn Fe P O
4 2 6 24
direct
0.145 0.145 0.145
0.355 0.355 0.355
0.645 0.645 0.645
0.855 0.855 0.855
0.000 0.000 0.000
0.500 0.500 0.500
0.048 0.750 0.452
0.250 0.548 0.952
0.452 0.048 0.750
0.548 0.952 0.250
0.750 0.452 0.048
0.952 0.250 0.548
0.011 0.821 0.605
0.062 0.904 0.249
0.096 0.751 0.938
0.105 0.321 0.511
0.179 0.395 0.989
0.249 0.062 0.904
0.251 0.596 0.438
0.321 0.511 0.105
0.395 0.989 0.179
0.404 0.562 0.749
0.438 0.251 0.596
0.489 0.895 0.679
0.511 0.105 0.321
0.562 0.749 0.404
0.596 0.438 0.251
0.605 0.011 0.821
0.679 0.489 0.895
0.749 0.404 0.562
0.751 0.938 0.096
0.821 0.605 0.011
0.895 0.679 0.489
0.904 0.249 0.062
0.938 0.096 0.751
0.989 0.179 0.395
```

Principal peaks in the range 2θ from 10° to 80°, by angle:
2θ = 20.44°, I 77
2θ = 24.31°, I 100
2θ = 25.23°, I 15
2θ = 31.77°, I 15
2θ = 33.45°, I 67
2θ = 35.80°, I 41
2θ = 47.89°, I 28
2θ = 49.80°, I 27
2θ = 56.00°, I 23
2θ = 62.84°, I 23

***

No. 2
# MgCoSiO5
Computed XRD peak list, a wavelength of 1.5418 Å. Input: a crystal structure in the Materials Project, relaxed with GGA+U.
Intensities are scaled so that the largest is 100.

Atomic structure:
```
MgCoSiO5
1.0
5.331 0.000 0.000
-1.062 5.368 0.000
-2.030 -2.368 6.041
Mg Co Si O
2 2 2 10
direct
0.000 0.000 0.000
0.488 0.737 0.538
0.744 0.368 0.269
0.744 0.369 0.769
0.066 0.994 0.515
0.422 0.743 0.024
0.064 0.676 0.425
0.086 0.629 0.875
0.402 0.108 0.664
0.425 0.061 0.115
0.511 0.626 0.221
0.600 0.704 0.863
0.646 0.425 0.509
0.843 0.313 0.030
0.888 0.033 0.675
0.977 0.109 0.317
```

Principal peaks in the range 2θ from 10° to 80°, by angle:
2θ = 18.31°, I 44
2θ = 21.30°, I 16
2θ = 28.38°, I 100
2θ = 29.32°, I 62
2θ = 35.03°, I 40
2θ = 35.93°, I 13
2θ = 46.36°, I 20
2θ = 52.86°, I 11
2θ = 54.01°, I 20
2θ = 55.13°, I 13

***

No. 3
# Mg14TiVO16
Computed XRD peak list, a wavelength of 1.5418 Å. Input: a crystal structure in the Materials Project, relaxed with GGA+U.
Intensities are scaled so that the largest is 100.

Atomic structure:
```
Mg14TiVO16
1.0
4.268 0.000 0.000
0.000 8.572 0.000
0.000 0.000 8.579
Mg Ti V O
14 1 1 16
direct
0.000 0.000 0.000
0.000 0.250 0.249
0.000 0.250 0.751
0.000 0.500 0.000
0.000 0.750 0.249
0.000 0.750 0.751
0.500 0.000 0.247
0.500 0.000 0.753
0.500 0.250 0.000
0.500 0.252 0.500
0.500 0.500 0.249
0.500 0.500 0.751
0.500 0.748 0.500
0.500 0.750 0.000
0.000 0.000 0.500
0.000 0.500 0.500
0.000 0.000 0.242
0.000 0.000 0.758
0.000 0.251 0.000
0.000 0.251 0.500
0.000 0.500 0.244
0.000 0.500 0.756
0.000 0.749 0.000
0.000 0.749 0.500
0.500 0.000 0.000
0.500 0.000 0.500
0.500 0.250 0.251
0.500 0.250 0.749
0.500 0.500 0.000
0.500 0.500 0.500
0.500 0.750 0.251
0.500 0.750 0.749
```

Principal peaks in the range 2θ from 10° to 80°, by angle:
2θ = 10.31°, I 6
2θ = 23.24°, I 4
2θ = 36.35°, I 23
2θ = 42.15°, I 100
2θ = 42.35°, I 49
2θ = 61.13°, I 28
2θ = 61.29°, I 56
2θ = 73.25°, I 9
2θ = 73.53°, I 4
2θ = 77.19°, I 25

***

No. 4
# MnOF
Computed XRD peak list, a wavelength of 1.5418 Å. Input: a crystal structure in the Materials Project, relaxed with GGA+U.
Intensities are scaled so that the largest is 100.

Atomic structure:
```
MnOF
1.0
5.128 0.000 0.000
0.000 5.743 0.000
-4.940 0.000 9.314
Mn O F
8 8 8
direct
0.000 0.095 0.250
0.000 0.905 0.750
0.252 0.349 0.991
0.252 0.651 0.491
0.500 0.199 0.750
0.500 0.801 0.250
0.748 0.349 0.509
0.748 0.651 0.009
0.072 0.147 0.644
0.072 0.853 0.144
0.473 0.410 0.887
0.473 0.590 0.387
0.527 0.410 0.613
0.527 0.590 0.113
0.928 0.147 0.856
0.928 0.853 0.356
0.048 0.343 0.121
0.048 0.657 0.621
0.467 0.081 0.371
0.467 0.919 0.871
0.533 0.081 0.129
0.533 0.919 0.629
0.952 0.343 0.379
0.952 0.657 0.879
```

Principal peaks in the range 2θ from 10° to 80°, by angle:
2θ = 24.61°, I 100
2θ = 30.01°, I 91
2θ = 30.47°, I 76
2θ = 35.00°, I 21
2θ = 35.84°, I 29
2θ = 40.73°, I 22
2θ = 52.56°, I 24
2θ = 53.46°, I 31
2θ = 54.03°, I 31
2θ = 63.33°, I 28